Diffraction record for Pm7Rh2Au2. The powder XRD pattern is simulated, not measured: it uses a PBE-relaxed structure and Cu Ka.
Neutral-atom scattering factors, no anomalous dispersion.

Atomic structure:
```
Pm7Rh2Au2
1.0
-1.9843 7.9550 4.8667
1.9843 -7.9550 4.8667
1.9843 7.9550 -4.8667
Pm Rh Au
7 2 2
Direct
0.0000 0.0000 0.0000 Pm
0.0978 0.4081 0.6898 Pm
0.1701 0.7863 0.3838 Pm
0.4024 0.7863 0.6162 Pm
0.5209 0.6273 0.8936 Pm
0.7183 0.4081 0.3102 Pm
0.7337 0.6273 0.1064 Pm
0.3782 0.3782 0.0000 Rh
0.7936 0.2936 0.5000 Rh
0.3559 0.1191 0.2368 Au
0.8823 0.1191 0.7632 Au
```

Principal peaks in the range 10 to 90 degrees two-theta, by intensity:
2θ (°)	d_spacing	I_rel
33.19	2.699	100
29.56	3.022	78
37.55	2.395	41
33.69	2.661	37
38.68	2.328	36
28.07	3.178	28
45.72	1.984	28
69.96	1.345	20

Diffraction record for PmTmRhAu. The powder XRD pattern is simulated, not measured: it uses a PBE-relaxed structure and Cu Ka.
Neutral-atom scattering factors, no anomalous dispersion.

Atomic structure:
```
PmTmRhAu
1.0
4.6229 0.0000 0.0000
0.0000 1.8979 5.2434
0.0000 -1.8979 5.2434
Pm Tm Rh Au
1 1 1 1
Direct
0.0000 0.0000 0.0000 Pm
0.5000 0.2808 0.2808 Tm
0.0000 0.7368 0.7368 Rh
0.5000 0.5641 0.5641 Au
```

Principal peaks in the range 10 to 90 degrees two-theta, by intensity:
2θ (°)	d_spacing	I_rel
31.67	2.825	100
40.13	2.247	67
38.97	2.311	34
34.20	2.622	26
39.52	2.280	24
34.89	2.571	21
47.93	1.898	19
63.41	1.467	16

Diffraction record for Pm3RuAu. The powder XRD pattern is simulated, not measured: it uses a PBE-relaxed structure and Cu Ka.
Neutral-atom scattering factors, no anomalous dispersion.

Atomic structure:
```
Pm3RuAu
1.0
8.8662 0.0000 0.0000
0.0000 7.3791 0.0000
-2.2211 0.0000 8.2690
Pm Ru Au
12 4 4
Direct
0.0409 0.0098 0.2128 Pm
0.0409 0.4902 0.7128 Pm
0.2667 0.6480 0.0923 Pm
0.2667 0.8520 0.5923 Pm
0.3483 0.1807 0.9849 Pm
0.3483 0.3193 0.4849 Pm
0.6517 0.6807 0.5151 Pm
0.6517 0.8193 0.0151 Pm
0.7333 0.1480 0.4077 Pm
0.7333 0.3520 0.9077 Pm
0.9591 0.5098 0.2872 Pm
0.9591 0.9902 0.7872 Pm
0.0688 0.1869 0.5202 Ru
0.0688 0.3131 0.0202 Ru
0.9312 0.6869 0.9798 Ru
0.9312 0.8131 0.4798 Ru
0.4148 0.5419 0.8077 Au
0.4148 0.9581 0.3077 Au
0.5852 0.0419 0.6923 Au
0.5852 0.4581 0.1923 Au
```

Principal peaks in the range 10 to 90 degrees two-theta, by intensity:
2θ (°)	d_spacing	I_rel
33.72	2.658	100
32.53	2.753	77
32.75	2.734	52
38.86	2.318	48
29.50	3.028	41
28.52	3.129	35
35.61	2.521	34
32.02	2.795	28

Diffraction record for Pm5RuAu4. The powder XRD pattern is simulated, not measured: it uses a PBE-relaxed structure and Cu Ka.
Neutral-atom scattering factors, no anomalous dispersion.

Atomic structure:
```
Pm5RuAu4
1.0
3.6206 0.0000 0.0000
0.0000 3.6206 0.0000
0.0000 0.0000 18.5913
Pm Ru Au
5 1 4
Direct
0.0000 0.0000 0.0000 Pm
0.0000 0.0000 0.2041 Pm
0.0000 0.0000 0.4084 Pm
0.0000 0.0000 0.5916 Pm
0.0000 0.0000 0.7959 Pm
0.5000 0.5000 0.5000 Ru
0.5000 0.5000 0.1013 Au
0.5000 0.5000 0.3050 Au
0.5000 0.5000 0.6950 Au
0.5000 0.5000 0.8987 Au
```

Principal peaks in the range 10 to 90 degrees two-theta, by intensity:
2θ (°)	d_spacing	I_rel
34.58	2.594	100
35.05	2.560	49
62.57	1.485	36
61.66	1.504	18
50.41	1.810	18
72.94	1.297	11
49.00	1.859	9
84.65	1.145	8